Hg2Pd8Pt3: calculated powder diffractogram (Cu Kα (λ = 1.5418 Å)), based on a structure optimized by DFT (PBE).
Lines closer than 0.1° are merged.

Atomic structure:
abc: 9.2368 2.7916 9.4311
angles: 90.00 117.22 90.00
Element x y z (fractional)
Hg: 0.0404 0.0000 0.3669
Hg: 0.9596 0.0000 0.6331
Pd: 0.1427 0.0000 0.1397
Pd: 0.1928 0.5000 0.9050
Pd: 0.2796 0.0000 0.6856
Pd: 0.3380 0.5000 0.4517
Pd: 0.6620 0.5000 0.5483
Pd: 0.7204 0.0000 0.3144
Pd: 0.8072 0.5000 0.0950
Pd: 0.8573 0.0000 0.8603
Pt: 0.4318 0.5000 0.2203
Pt: 0.5000 0.0000 0.0000
Pt: 0.5682 0.5000 0.7797

Largest 12 diffraction maxima, low angle first, 10 to 80 degrees two-theta:
d (Å)  2theta  intensity
2.643  33.92  38
2.634  34.03  24
2.389  37.66  40
2.310  39.00  100
2.299  39.18  82
2.286  39.42  31
2.205  40.94  68
2.101  43.06  39
2.092  43.24  27
2.046  44.27  40
1.975  45.94  30
1.338  70.38  23